Computed XRD peak list
Compound: Te4MoW3Se2S2
Radiation: copper Kα
Structure: a structure optimized by DFT (GGA-PBE)
Kinematic intensities with the Lorentz-polarization factor, no thermal factor.

Top 10 peaks for 10 to 90 degrees two-theta, in order of falling intensity:
2θ = 11.38°, rel. 100
2θ = 35.69°, rel. 87
2θ = 43.14°, rel. 49
2θ = 30.42°, rel. 44
2θ = 54.02°, rel. 29
2θ = 13.66°, rel. 17
2θ = 32.55°, rel. 15
2θ = 66.43°, rel. 14
2θ = 76.06°, rel. 14
2θ = 44.89°, rel. 14

Structural model:
```
Te4MoW3Se2S2
1.0
3.3956 0.0000 0.0000
-1.6978 2.9407 0.0000
0.0000 0.0000 38.8836
Te Mo W Se S
4 1 3 2 2
Direct
0.0000 0.0000 0.0000
0.0000 0.0000 0.0964
0.6667 0.3333 0.1879
0.6667 0.3333 0.2848
0.6667 0.3333 0.0482
0.0000 0.0000 0.2364
0.0000 0.0000 0.8605
0.6667 0.3333 0.6726
0.0000 0.0000 0.6300
0.0000 0.0000 0.7152
0.6667 0.3333 0.8217
0.6667 0.3333 0.8993
```


Computed XRD peak list
Compound: BaU2Te5
Radiation: copper Kα
Structure: a structure optimized by DFT (GGA-PBE)
Kinematic intensities with the Lorentz-polarization factor, no thermal factor.

Top 10 peaks for 10 to 90 degrees two-theta, in order of falling intensity:
2θ = 29.85°, rel. 100
2θ = 34.13°, rel. 50
2θ = 11.68°, rel. 38
2θ = 38.32°, rel. 35
2θ = 60.22°, rel. 19
2θ = 63.00°, rel. 19
2θ = 48.01°, rel. 15
2θ = 48.65°, rel. 10
2θ = 73.27°, rel. 10
2θ = 28.02°, rel. 10

Structural model:
```
BaU2Te5
1.0
-4.1539 4.1539 7.5786
4.1539 -4.1539 7.5786
4.1539 4.1539 -7.5786
Ba U Te
2 4 10
Direct
0.2500 0.2500 0.0000
0.7500 0.7500 0.0000
0.1509 0.6509 0.8019
0.3491 0.1509 0.5000
0.6509 0.8491 0.5000
0.8491 0.3491 0.1981
0.0000 0.0000 0.0000
0.0163 0.2169 0.5000
0.2169 0.7169 0.2006
0.2831 0.4837 0.5000
0.4837 0.9837 0.2006
0.5000 0.5000 0.0000
0.5163 0.0163 0.7994
0.7169 0.5163 0.5000
0.7831 0.2831 0.7994
0.9837 0.7831 0.5000
```


Computed XRD peak list
Compound: NaCaDySeO6
Radiation: copper Kα
Structure: a structure optimized by DFT (GGA-PBE)
Kinematic intensities with the Lorentz-polarization factor, no thermal factor.

Top 10 peaks for 10 to 90 degrees two-theta, in order of falling intensity:
2θ = 31.68°, rel. 100
2θ = 22.25°, rel. 70
2θ = 56.42°, rel. 38
2θ = 45.41°, rel. 37
2θ = 51.13°, rel. 28
2θ = 66.16°, rel. 21
2θ = 75.22°, rel. 18
2θ = 70.75°, rel. 13
2θ = 19.24°, rel. 13
2θ = 37.33°, rel. 13

Structural model:
```
NaCaDySeO6
1.0
0.0000 3.9948 3.9948
3.9948 0.0000 3.9948
3.9948 3.9948 0.0000
Na Ca Dy Se O
1 1 1 1 6
Direct
0.0000 0.0000 0.0000
0.5000 0.5000 0.5000
0.2500 0.2500 0.2500
0.7500 0.7500 0.7500
0.5234 0.5234 0.9766
0.5234 0.9766 0.5234
0.5234 0.9766 0.9766
0.9766 0.5234 0.5234
0.9766 0.5234 0.9766
0.9766 0.9766 0.5234
```


Computed XRD peak list
Compound: YMg6NbO8
Radiation: copper Kα
Structure: a structure optimized by DFT (GGA-PBE)
Kinematic intensities with the Lorentz-polarization factor, no thermal factor.

Top 10 peaks for 10 to 90 degrees two-theta, in order of falling intensity:
2θ = 40.82°, rel. 100
2θ = 35.08°, rel. 60
2θ = 58.89°, rel. 58
2θ = 40.55°, rel. 49
2θ = 30.30°, rel. 39
2θ = 59.10°, rel. 30
2θ = 19.95°, rel. 28
2θ = 74.13°, rel. 27
2θ = 28.55°, rel. 22
2θ = 70.62°, rel. 19

Structural model:
```
YMg6NbO8
1.0
4.4213 0.0000 0.0000
0.0000 4.4213 0.0000
0.0000 0.0000 8.8995
Y Mg Nb O
1 6 1 8
Direct
0.0000 0.0000 0.0000
0.0000 0.0000 0.5000
0.0000 0.5000 0.2640
0.0000 0.5000 0.7360
0.5000 0.0000 0.2640
0.5000 0.0000 0.7360
0.5000 0.5000 0.5000
0.5000 0.5000 0.0000
0.0000 0.0000 0.2649
0.0000 0.0000 0.7351
0.0000 0.5000 0.0000
0.0000 0.5000 0.5000
0.5000 0.0000 0.0000
0.5000 0.0000 0.5000
0.5000 0.5000 0.2671
0.5000 0.5000 0.7329
```


Computed XRD peak list
Compound: RbMg14SbO16
Radiation: copper Kα
Structure: a structure optimized by DFT (GGA-PBE)
Kinematic intensities with the Lorentz-polarization factor, no thermal factor.

Top 10 peaks for 10 to 90 degrees two-theta, in order of falling intensity:
2θ = 39.85°, rel. 100
2θ = 40.58°, rel. 93
2θ = 41.23°, rel. 91
2θ = 34.93°, rel. 78
2θ = 10.10°, rel. 66
2θ = 58.19°, rel. 57
2θ = 59.23°, rel. 55
2θ = 58.68°, rel. 54
2θ = 73.79°, rel. 51
2θ = 29.97°, rel. 32

Structural model:
```
RbMg14SbO16
1.0
4.5240 0.0000 0.0000
0.0000 8.7586 0.0000
0.0000 0.0000 8.8917
Rb Mg Sb O
1 14 1 16
Direct
0.0000 0.0000 0.0000
0.0000 0.2607 0.2437
0.0000 0.2607 0.7563
0.0000 0.5000 0.0000
0.0000 0.5000 0.5000
0.0000 0.7393 0.2437
0.0000 0.7393 0.7563
0.5000 0.0000 0.2387
0.5000 0.0000 0.7613
0.5000 0.2559 0.0000
0.5000 0.2612 0.5000
0.5000 0.5000 0.2475
0.5000 0.5000 0.7525
0.5000 0.7388 0.5000
0.5000 0.7441 0.0000
0.0000 0.0000 0.5000
0.0000 0.0000 0.2651
0.0000 0.0000 0.7349
0.0000 0.2661 0.5000
0.0000 0.2814 0.0000
0.0000 0.5000 0.2559
0.0000 0.5000 0.7441
0.0000 0.7186 0.0000
0.0000 0.7339 0.5000
0.5000 0.0000 0.0000
0.5000 0.0000 0.5000
0.5000 0.2499 0.2512
0.5000 0.2499 0.7488
0.5000 0.5000 0.0000
0.5000 0.5000 0.5000
0.5000 0.7501 0.2512
0.5000 0.7501 0.7488
```